(1)
Starting from a GGA-PBE-relaxed structure, the XRD peak list of Na2Ca4YZrSi4O15F3 was simulated for CuKα.
Kinematic intensities with the Lorentz-polarization factor, no thermal factor.

Structure:
a = 7.4574 Å, b = 10.3839 Å, c = 11.1825 Å
α = 89.88°, β = 70.90°, γ = 89.70°
Space group P-1 (No. 2)
Inequivalent atoms, fractional coordinates:
1 Na 0.1578 0.1255 0.4250 x2
2 Na 0.1650 0.3811 0.9247 x2
3 Ca 0.0244 0.8948 0.2010 x2
4 Ca 0.0256 0.5969 0.6968 x2
5 Ca 0.3403 0.8666 0.5750 x2
6 Ca 0.3458 0.6241 0.0686 x2
7 Y 0.4709 0.1013 0.8095 x2
8 Zr 0.4807 0.4068 0.2891 x2
9 Si 0.1574 0.6730 0.3814 x2
10 Si 0.1565 0.8202 0.8789 x2
11 Si 0.2771 0.1798 0.1296 x2
12 Si 0.2853 0.3291 0.6208 x2
13 O 0.0513 0.2037 0.1425 x2
14 O 0.0579 0.3370 0.6308 x2
15 O 0.1391 0.7291 0.5201 x2
16 O 0.1417 0.7726 0.0191 x2
17 O 0.2126 0.9723 0.8487 x2
18 O 0.2331 0.5229 0.3584 x2
19 O 0.2733 0.7648 0.2616 x2
20 O 0.2857 0.2284 0.7333 x2
21 O 0.2918 0.7333 0.7592 x2
22 O 0.2928 0.2727 0.2444 x2
23 O 0.3050 0.0286 0.1590 x2
24 O 0.3285 0.4772 0.6545 x2
25 O 0.4046 0.2219 0.9864 x2
26 O 0.4098 0.2843 0.4777 x2
27 O 0.4450 0.5173 0.8796 x2
28 F 0.0779 0.4978 0.1147 x2
29 F 0.0841 0.0058 0.6095 x2
30 F 0.4381 0.9900 0.3900 x2

Most intense lines, 2θ = 15–90°, sorted by position:
| d [Å] | intensity | index |
| --- | --- | --- |
| 5.283 | 31 | 0 0 2 |
| 4.660 | 21 | 0 2 -1 |
| 4.183 | 23 | 1 2 1 |
| 3.335 | 66 | 0 1 -3 |
| 3.036 | 82 | 2 2 1 |
| 3.021 | 79 | 2 -2 1 |
| 2.915 | 100 | 0 2 -3 |
| 2.897 | 35 | 0 3 2 |
| 1.864 | 40 | 4 0 2 |
| 1.823 | 22 | -2 4 2 |


(2)
Starting from a GGA-PBE-relaxed structure, the XRD peak list of Na3Ca3Zr2Si4O15F3 was simulated for CuKα.
Kinematic intensities with the Lorentz-polarization factor, no thermal factor.

Structure:
a = 8.9898 Å, b = 10.0689 Å, c = 10.1487 Å
α = 101.22°, β = 96.88°, γ = 93.74°
Space group P-1 (No. 2)
Inequivalent atoms, fractional coordinates:
1 Na 0.0754 0.3906 0.1548 x2
2 Na 0.3228 0.3557 0.7867 x2
3 Na 0.3359 0.2007 0.4660 x2
4 Ca 0.1030 0.9776 0.6416 x2
5 Ca 0.3334 0.5698 0.4842 x2
6 Ca 0.3508 0.0394 0.9369 x2
7 Zr 0.0492 0.3282 0.5117 x2
8 Zr 0.1198 0.0612 0.1485 x2
9 Si 0.2520 0.8651 0.3795 x2
10 Si 0.3323 0.6518 0.9452 x2
11 Si 0.4128 0.8498 0.2138 x2
12 Si 0.4497 0.2945 0.1865 x2
13 O 0.0115 0.5806 0.2935 x2
14 O 0.0573 0.2040 0.2912 x2
15 O 0.0842 0.1447 0.5386 x2
16 O 0.0861 0.5050 0.3939 x2
17 O 0.1008 0.0183 0.9202 x2
18 O 0.1203 0.9307 0.2923 x2
19 O 0.2091 0.7714 0.4867 x2
20 O 0.2617 0.4008 0.5729 x2
21 O 0.2789 0.2349 0.1140 x2
22 O 0.3466 0.9752 0.1453 x2
23 O 0.3590 0.7015 0.1099 x2
24 O 0.4038 0.1358 0.7629 x2
25 O 0.4324 0.8068 0.8967 x2
26 O 0.4664 0.5724 0.8667 x2
27 O 0.4671 0.3376 0.3508 x2
28 F 0.1743 0.6987 0.8750 x2
29 F 0.2365 0.4999 0.9521 x2
30 F 0.3450 0.9961 0.4942 x2

Most intense lines, 2θ = 15–90°, sorted by position:
| d [Å] | intensity | index |
| --- | --- | --- |
| 4.928 | 44 | 0 0 2 |
| 4.272 | 100 | 1 -2 1 |
| 4.086 | 75 | 0 1 2 |
| 3.918 | 33 | 2 1 0 |
| 3.285 | 90 | 0 0 3 |
| 3.225 | 30 | -2 2 1 |
| 2.883 | 55 | 2 -2 2 |
| 2.765 | 38 | 3 1 0 |
| 2.706 | 34 | 3 0 -2 |
| 2.126 | 34 | 4 1 0 |